For Ba3TbBi2O6, a structure optimized by DFT (GGA-PBE) gives the computed powder X-ray diffraction pattern in this record (Cu Kα, 1.54184 Å).
Lines closer than 0.1° are merged.

The 10 most intense peaks (2θ from 10° to 90°), in order of rising 2θ:
| 2θ (°) | d (Å) | intensity | h k l |
| --- | --- | --- | --- |
| 28.9 | 3.085 | 100 | 1 1 0 |
| 29.8 | 3.002 | 84 | 0 1 2 |
| 42.0 | 2.151 | 44 | 2 0 2 |
| 51.3 | 1.781 | 21 | 3 0 0 |
| 51.8 | 1.765 | 37 | 1 2 2 |
| 53.3 | 1.718 | 17 | 0 1 4 |
| 60.0 | 1.543 | 16 | 2 2 0 |
| 68.4 | 1.372 | 17 | 3 1 2 |
| 69.7 | 1.350 | 15 | 1 2 4 |
| 82.8 | 1.166 | 11 | 4 1 0 |

Cell and atoms:
a b c (Å): 6.1700 6.1700 7.2562
angles (deg): 90.00 90.00 120.00
Space group P-3m1 (No. 164)
Inequivalent atoms, fractional coordinates:
Ba (0.0000, 0.0000, 0.0000) (multiplicity 1)
Ba (0.3333, 0.6667, 0.6258) (multiplicity 2)
Tb (0.0000, 0.0000, 0.5000) (multiplicity 1)
Bi (0.3333, 0.6667, 0.1231) (multiplicity 2)
O (0.1724, 0.3448, 0.3199) (multiplicity 6)